(1)
The following is a computed PXRD pattern of ThSn3. It was derived from DFT lattice parameters and positions (PBE), using Cu Kα.
Kinematic intensities with the Lorentz-polarization factor, no thermal factor.

Cell and atoms:
```
ThSn3
1.0
4.7662 0.0000 0.0000
0.0000 4.7662 0.0000
0.0000 0.0000 4.7662
Th Sn
1 3
Direct
0.0000 0.0000 0.0000 Th
0.0000 0.5000 0.5000 Sn
0.5000 0.0000 0.5000 Sn
0.5000 0.5000 0.0000 Sn
```

Largest 10 diffraction maxima, in order of rising 2θ, 15 to 90 degrees two-theta:
two_theta, I_rel
18.6, 85
26.4, 75
32.5, 1000
37.7, 507
42.4, 44
54.5, 361
64.9, 433
68.2, 126
80.6, 61
89.7, 198

(2)
The following is a computed PXRD pattern of TaTlO12. It was derived from DFT lattice parameters and positions (PBE), using Cu Kα.
Kinematic intensities with the Lorentz-polarization factor, no thermal factor.

Cell and atoms:
```
TaTlO12
1.0
0.0000 5.3944 5.3944
5.3944 0.0000 5.3944
5.3944 5.3944 0.0000
Ta Tl O
2 2 24
Direct
0.1250 0.1250 0.1250 Ta
0.8750 0.8750 0.8750 Ta
0.3750 0.3750 0.3750 Tl
0.6250 0.6250 0.6250 Tl
0.1439 0.1439 0.3982 O
0.1439 0.1439 0.8139 O
0.1439 0.3982 0.1439 O
0.1439 0.3982 0.8139 O
0.1439 0.8139 0.1439 O
0.1439 0.8139 0.3982 O
0.1861 0.6018 0.8561 O
0.1861 0.8561 0.6018 O
0.1861 0.8561 0.8561 O
0.3982 0.1439 0.1439 O
0.3982 0.1439 0.8139 O
0.3982 0.8139 0.1439 O
0.6018 0.1861 0.8561 O
0.6018 0.8561 0.1861 O
0.6018 0.8561 0.8561 O
0.8139 0.1439 0.1439 O
0.8139 0.1439 0.3982 O
0.8139 0.3982 0.1439 O
0.8561 0.1861 0.6018 O
0.8561 0.1861 0.8561 O
0.8561 0.6018 0.1861 O
0.8561 0.6018 0.8561 O
0.8561 0.8561 0.1861 O
0.8561 0.8561 0.6018 O
```

Largest 10 diffraction maxima, in order of rising 2θ, 15 to 90 degrees two-theta:
two_theta, I_rel
23.3, 1000
33.2, 177
41.0, 654
47.7, 140
53.7, 280
59.3, 103
64.7, 251
74.6, 163
79.5, 74
84.2, 65

(3)
The following is a computed PXRD pattern of KSe. It was derived from DFT lattice parameters and positions (PBE), using Cu Kα.
Kinematic intensities with the Lorentz-polarization factor, no thermal factor.

Cell and atoms:
```
KSe
1.0
9.0350 0.0000 0.0000
-4.5175 7.8245 0.0000
0.0000 0.0000 6.0984
K Se
6 6
Direct
0.0000 0.3501 0.0000 K
0.0000 0.6836 0.5000 K
0.3164 0.3164 0.5000 K
0.3501 0.0000 0.0000 K
0.6499 0.6499 0.0000 K
0.6836 0.0000 0.5000 K
0.0000 0.0000 0.1997 Se
0.0000 0.0000 0.8003 Se
0.3333 0.6667 0.2992 Se
0.3333 0.6667 0.7008 Se
0.6667 0.3333 0.2992 Se
0.6667 0.3333 0.7008 Se
```

Largest 10 diffraction maxima, in order of rising 2θ, 15 to 90 degrees two-theta:
two_theta, I_rel
19.7, 1000
24.5, 454
34.4, 976
35.5, 905
39.9, 167
50.3, 317
53.7, 146
61.6, 158
62.3, 319
83.4, 136

(4)
The following is a computed PXRD pattern of NaB3H4O7. It was derived from DFT lattice parameters and positions (PBE), using Cu Kα.
Kinematic intensities with the Lorentz-polarization factor, no thermal factor.

Cell and atoms:
```
NaB3H4O7
1.0
9.2383 -4.9615 0.0000
9.2383 4.9615 0.0000
-1.5516 0.0000 6.2521
Na B H O
4 12 16 28
Direct
0.0645 0.5898 0.8995 Na
0.4102 0.9355 0.6005 Na
0.5898 0.0645 0.3995 Na
0.9355 0.4102 0.1005 Na
0.0042 0.8014 0.4938 B
0.1703 0.5116 0.4426 B
0.1986 0.9958 0.0062 B
0.2798 0.6768 0.4843 B
0.3232 0.7202 0.0157 B
0.4884 0.8297 0.0574 B
0.5116 0.1703 0.9426 B
0.6768 0.2798 0.9843 B
0.7202 0.3232 0.5157 B
0.8014 0.0042 0.9938 B
0.8297 0.4884 0.5574 B
0.9958 0.1986 0.5062 B
0.0280 0.8693 0.0218 H
0.1300 0.3709 0.5531 H
0.1307 0.9720 0.4782 H
0.2404 0.3663 0.1684 H
0.3663 0.2404 0.6684 H
0.3709 0.1300 0.0531 H
0.3841 0.4978 0.9960 H
0.4978 0.3841 0.4960 H
0.5022 0.6159 0.5040 H
0.6159 0.5022 0.0040 H
0.6291 0.8700 0.9469 H
0.6337 0.7596 0.3316 H
0.7596 0.6337 0.8316 H
0.8693 0.0280 0.5218 H
0.8700 0.6291 0.4469 H
0.9720 0.1307 0.9782 H
0.0231 0.6627 0.4944 O
0.0645 0.1371 0.9878 O
0.1312 0.8103 0.4824 O
0.1371 0.0645 0.4878 O
0.1427 0.4588 0.2175 O
0.1897 0.8688 0.0176 O
0.2021 0.4075 0.5939 O
0.2944 0.6058 0.0028 O
0.3029 0.5355 0.4806 O
0.3373 0.9769 0.0056 O
0.3942 0.7056 0.4972 O
0.4075 0.2021 0.0939 O
0.4588 0.1427 0.7175 O
0.4645 0.6971 0.0194 O
0.5355 0.3029 0.9806 O
0.5412 0.8573 0.2825 O
0.5925 0.7979 0.9061 O
0.6058 0.2944 0.5028 O
0.6627 0.0231 0.9944 O
0.6971 0.4645 0.5194 O
0.7056 0.3942 0.9972 O
0.7979 0.5925 0.4061 O
0.8103 0.1312 0.9824 O
0.8573 0.5412 0.7825 O
0.8629 0.9355 0.5122 O
0.8688 0.1897 0.5176 O
0.9355 0.8629 0.0122 O
0.9769 0.3373 0.5056 O
```

Largest 10 diffraction maxima, in order of rising 2θ, 15 to 90 degrees two-theta:
two_theta, I_rel
17.9, 432
18.4, 162
26.4, 216
27.9, 359
28.6, 1000
30.3, 131
31.6, 154
35.0, 351
36.2, 169
49.5, 134

(5)
The following is a computed PXRD pattern of Cs3Mo2I9. It was derived from DFT lattice parameters and positions (PBE), using Cu Kα.
Kinematic intensities with the Lorentz-polarization factor, no thermal factor.

Cell and atoms:
```
Cs3Mo2I9
1.0
8.4449 0.0000 0.0000
-4.2224 7.3135 0.0000
0.0000 0.0000 20.4587
Cs Mo I
6 4 18
Direct
0.0000 0.0000 0.2500 Cs
0.0000 0.0000 0.7500 Cs
0.3333 0.6667 0.0658 Cs
0.3333 0.6667 0.4342 Cs
0.6667 0.3333 0.5658 Cs
0.6667 0.3333 0.9342 Cs
0.3333 0.6667 0.6770 Mo
0.3333 0.6667 0.8230 Mo
0.6667 0.3333 0.1770 Mo
0.6667 0.3333 0.3230 Mo
0.0098 0.5049 0.7500 I
0.1780 0.3560 0.5956 I
0.1780 0.3560 0.9044 I
0.1780 0.8220 0.5956 I
0.1780 0.8220 0.9044 I
0.3560 0.1780 0.0956 I
0.3560 0.1780 0.4044 I
0.4951 0.5049 0.7500 I
0.4951 0.9902 0.7500 I
0.5049 0.0098 0.2500 I
0.5049 0.4951 0.2500 I
0.6440 0.8220 0.5956 I
0.6440 0.8220 0.9044 I
0.8220 0.1780 0.0956 I
0.8220 0.1780 0.4044 I
0.8220 0.6440 0.0956 I
0.8220 0.6440 0.4044 I
0.9902 0.4951 0.2500 I
```

Largest 10 diffraction maxima, in order of rising 2θ, 15 to 90 degrees two-theta:
two_theta, I_rel
24.7, 157
25.9, 702
26.1, 371
27.7, 1000
30.0, 712
39.5, 229
42.8, 556
43.2, 183
50.9, 325
51.8, 203

(6)
The following is a computed PXRD pattern of Sr. It was derived from DFT lattice parameters and positions (PBE), using Cu Kα.
Kinematic intensities with the Lorentz-polarization factor, no thermal factor.

Cell and atoms:
```
Sr
1.0
4.2514 0.0000 0.0000
-2.1257 3.6818 0.0000
0.0000 0.0000 7.0556
Sr
2
Direct
0.3333 0.6667 0.2500 Sr
0.6667 0.3333 0.7500 Sr
```

Largest 10 diffraction maxima, in order of rising 2θ, 15 to 90 degrees two-theta:
two_theta, I_rel
24.2, 226
25.2, 271
27.3, 1000
35.2, 170
42.5, 199
45.8, 241
50.1, 245
51.3, 172
68.8, 142
80.1, 94

(7)
The following is a computed PXRD pattern of CrC8N6. It was derived from DFT lattice parameters and positions (PBE), using Cu Kα.
Kinematic intensities with the Lorentz-polarization factor, no thermal factor.

Cell and atoms:
```
CrC8N6
1.0
6.3480 -3.6631 0.0000
6.3480 3.6631 0.0000
-0.0070 0.0000 5.6537
Cr C N
1 8 6
Direct
0.0000 0.0000 0.0000 Cr
0.2234 0.2234 0.7746 C
0.2234 0.5529 0.7747 C
0.3332 0.3332 0.7482 C
0.4472 0.7764 0.2235 C
0.5529 0.2234 0.7747 C
0.6667 0.6667 0.2483 C
0.7764 0.4472 0.2235 C
0.7764 0.7764 0.2236 C
0.1324 0.1324 0.8125 N
0.1323 0.7354 0.8126 N
0.2648 0.8676 0.1874 N
0.7354 0.1323 0.8126 N
0.8676 0.2648 0.1874 N
0.8675 0.8675 0.1874 N
```

Largest 10 diffraction maxima, in order of rising 2θ, 15 to 90 degrees two-theta:
two_theta, I_rel
15.7, 350
21.0, 1000
24.3, 132
29.0, 99
32.4, 181
34.7, 85
37.5, 68
40.9, 151
42.9, 133
49.8, 69

(8)
The following is a computed PXRD pattern of Ba3Bi2TeO9. It was derived from DFT lattice parameters and positions (PBE), using Cu Kα.
Kinematic intensities with the Lorentz-polarization factor, no thermal factor.

Cell and atoms:
```
Ba3Bi2TeO9
1.0
6.2648 0.0000 0.0000
-3.1324 5.4255 0.0000
0.0000 0.0000 15.0539
Ba Bi Te O
6 4 2 18
Direct
0.0000 0.0000 0.2500 Ba
0.0000 0.0000 0.7500 Ba
0.3333 0.6667 0.0820 Ba
0.3333 0.6667 0.5820 Ba
0.6667 0.3333 0.4180 Ba
0.6667 0.3333 0.9180 Ba
0.3333 0.6667 0.3328 Bi
0.3333 0.6667 0.8328 Bi
0.6667 0.3333 0.1672 Bi
0.6667 0.3333 0.6672 Bi
0.0000 0.0000 0.0000 Te
0.0000 0.0000 0.5000 Te
0.0000 0.4437 0.2500 O
0.0000 0.5563 0.7500 O
0.0824 0.2899 0.9250 O
0.0824 0.7926 0.4250 O
0.2074 0.2899 0.4250 O
0.2074 0.9176 0.9250 O
0.2899 0.0824 0.5750 O
0.2899 0.2074 0.0750 O
0.4437 0.0000 0.2500 O
0.4437 0.4437 0.7500 O
0.5563 0.0000 0.7500 O
0.5563 0.5563 0.2500 O
0.7101 0.7926 0.9250 O
0.7101 0.9176 0.4250 O
0.7926 0.0824 0.0750 O
0.7926 0.7101 0.5750 O
0.9176 0.2074 0.5750 O
0.9176 0.7101 0.0750 O
```

Largest 10 diffraction maxima, in order of rising 2θ, 15 to 90 degrees two-theta:
two_theta, I_rel
28.5, 991
28.9, 1000
41.0, 530
50.5, 232
50.7, 433
51.4, 202
59.0, 162
59.8, 168
67.0, 190
67.6, 192